# Co7As2O12
Simulated powder XRD pattern, λ = 1.5418 Å (Cu Kα). Input: DFT lattice parameters and positions (GGA+U).
Neutral-atom scattering factors, no anomalous dispersion.

Peak list (12 most intense, 10° ≤ 2θ ≤ 90°, in order of falling intensity)
- 35.14 deg, intensity 100
- 62.36 deg, intensity 73
- 32.78 deg, intensity 56
- 35.36 deg, intensity 44
- 32.15 deg, intensity 40
- 43.10 deg, intensity 33
- 36.12 deg, intensity 29
- 26.48 deg, intensity 27
- 57.33 deg, intensity 27
- 41.10 deg, intensity 22
- 63.63 deg, intensity 20
- 61.55 deg, intensity 18

Crystal structure
```
Co7As2O12
1.0
-2.9248 9.0407 4.2262
2.9248 -9.0407 4.2262
2.9248 9.0407 -4.2262
Co As O
14 4 24
Cartesian
1.4624 4.5204 -2.1131
1.4624 -4.5204 2.1131
1.4624 7.4284 -2.1131
1.4624 -1.6123 2.1131
2.9248 2.9805 0.1685
0.0000 1.3079 1.0762
2.9248 6.0603 0.1685
2.9248 1.3079 3.1501
0.0000 7.7328 1.0762
0.0000 2.9805 4.0577
2.9248 7.7328 3.1501
0.0000 6.0603 4.0577
-1.4624 10.6531 2.1131
1.4624 10.6531 2.1131
2.9248 0.0000 0.0000
0.0000 4.5204 1.0268
0.0000 0.0000 4.2262
2.9248 4.5204 3.1995
2.9248 -3.0614 1.8760
1.6394 1.3589 0.0291
4.2101 1.3589 0.0291
2.9248 5.9793 -1.8760
2.9248 -0.1558 1.8593
1.4285 4.5204 0.0553
1.4962 -4.5204 4.2816
2.9248 8.8849 -1.8593
0.0000 3.0989 1.9967
1.6394 7.6819 0.0291
1.2854 -1.3589 4.2554
2.9248 3.0989 2.2296
0.0000 5.9418 1.9967
1.6394 10.3996 -0.0291
1.2854 1.3589 4.1971
2.9248 5.9418 2.2296
0.0000 0.1558 6.0856
1.4285 13.5611 -0.0553
1.4962 4.5204 4.1709
0.0000 9.1965 2.3669
0.0000 3.0614 6.1022
-1.2854 7.6819 4.1971
1.2854 7.6819 4.1971
0.0000 12.1022 2.3503
```